For Ba4Os6ClO18, a crystal structure in the Materials Project, relaxed with PBE gives the computed powder diffraction line list in this record (Cu Kα (weighted mean of Kα1 and Kα2)).
Kinematic intensities with the Lorentz-polarization factor, no thermal factor.

Top 12 peaks for 2θ = 10–80°, in order of rising 2θ:
hkl	Position (°2θ)	I (rel.)
1 1 0	13.20	565
2 0 0	18.71	256
2 1 1	22.96	369
2 2 0	26.57	311
3 1 0	29.78	1000
3 2 1	35.40	704
4 1 1	40.33	314
4 1 3	48.95	611
5 1 2	52.85	144
5 0 3	56.56	221
6 0 0	58.36	357
5 4 1	63.55	161

a b c (Å): 9.488 9.488 9.488
angles (deg): 90.00 90.00 90.00
Space group I23 (No. 197)
Asymmetric unit:
Ba1 0.185 0.185 0.815 x8
Os1 0.000 0.365 0.500 x12
Cl1 0.000 0.000 0.000 x2
O1 0.000 0.000 0.339 x12
O2 0.012 0.360 0.291 x24



For Ba2TbCeO6, a crystal structure in the Materials Project, relaxed with PBE gives the computed powder diffraction line list in this record (Cu Kα (weighted mean of Kα1 and Kα2)).
Kinematic intensities with the Lorentz-polarization factor, no thermal factor.

Top 8 peaks for 2θ = 10–80°, in order of rising 2θ:
hkl	Position (°2θ)	I (rel.)
2 0 0	20.03	19
2 2 0	28.47	1000
4 0 0	40.70	284
4 2 0	45.76	8
4 2 2	50.41	437
4 4 0	58.91	177
6 2 0	66.71	184
4 4 4	74.07	57

a b c (Å): 8.868 8.868 8.868
angles (deg): 90.00 90.00 90.00
Space group Pn-3 (No. 201, origin choice 2)
Asymmetric unit:
Ba1 0.250 0.250 0.250 x2
Ba2 0.250 0.250 0.750 x6
Tb1 0.000 0.000 0.000 x4
Ce1 0.000 0.000 0.500 x4
O1 0.025 0.529 0.752 x24